1.
For Li2V4CrCuO12, a structure optimized by DFT (PBE+U) gives the computed powder XRD pattern in this record (Cu Kα (weighted mean of Kα1 and Kα2)).
Intensities are scaled so that the largest is 100.

Cell and atoms:
abc: 10.330 9.072 5.813
angles: 90.00 111.14 90.00
Space group C2 (No. 5)
Inequivalent atoms, fractional coordinates:
Li: 0.000 0.000 0.000 [2 per cell]
Li: 0.000 0.484 0.500 [2 per cell]
V: 0.204 0.639 0.988 [4 per cell]
V: 0.206 0.835 0.483 [4 per cell]
Cr: 0.000 0.152 0.500 [2 per cell]
Cu: 0.000 0.332 0.000 [2 per cell]
O: 0.109 0.321 0.417 [4 per cell]
O: 0.112 0.139 0.876 [4 per cell]
O: 0.127 0.008 0.419 [4 per cell]
O: 0.134 0.735 0.181 [4 per cell]
O: 0.140 0.464 0.937 [4 per cell]
O: 0.145 0.722 0.692 [4 per cell]

Most intense lines, 10° ≤ 2θ ≤ 90°, by angle:
2θ 19.57, rel. 26, hkl 0 2 0; 2θ 23.66, rel. 27, hkl 1 1 1; 2θ 27.94, rel. 100, hkl 2 2 -1; 2θ 29.50, rel. 59, hkl 3 1 0; 2θ 33.04, rel. 41, hkl 0 0 2; 2θ 35.14, rel. 27, hkl 2 2 1


2.
For LiCr2Cu2W4O16, a structure optimized by DFT (PBE+U) gives the computed powder XRD pattern in this record (Cu Kα (weighted mean of Kα1 and Kα2)).
Intensities are scaled so that the largest is 100.

Cell and atoms:
abc: 5.029 7.518 7.520
angles: 100.81 90.86 90.91
Space group P1 (No. 1)
Inequivalent atoms, fractional coordinates:
Li: 0.000 0.000 0.000 [1 per cell]
Cr: 0.495 0.128 0.872 [1 per cell]
Cr: 0.993 0.767 0.228 [1 per cell]
Cu: 0.489 0.612 0.381 [1 per cell]
Cu: 0.991 0.284 0.712 [1 per cell]
W: 0.486 0.616 0.888 [1 per cell]
W: 0.491 0.115 0.380 [1 per cell]
W: 0.985 0.297 0.224 [1 per cell]
W: 0.985 0.773 0.698 [1 per cell]
O: 0.150 0.533 0.236 [1 per cell]
O: 0.152 0.003 0.754 [1 per cell]
O: 0.164 0.754 0.973 [1 per cell]
O: 0.175 0.255 0.455 [1 per cell]
O: 0.304 0.643 0.642 [1 per cell]
O: 0.321 0.145 0.122 [1 per cell]
O: 0.321 0.890 0.349 [1 per cell]
O: 0.354 0.381 0.861 [1 per cell]
O: 0.628 0.133 0.615 [1 per cell]
O: 0.661 0.647 0.108 [1 per cell]
O: 0.666 0.362 0.363 [1 per cell]
O: 0.673 0.872 0.852 [1 per cell]
O: 0.802 0.545 0.743 [1 per cell]
O: 0.814 0.028 0.242 [1 per cell]
O: 0.836 0.244 0.985 [1 per cell]
O: 0.837 0.759 0.471 [1 per cell]

Most intense lines, 10° ≤ 2θ ≤ 90°, by angle:
2θ 18.52, rel. 51, hkl 0 1 1; 2θ 23.43, rel. 53, hkl 1 -1 1; 2θ 24.11, rel. 62, hkl 0 2 0; 2θ 29.75, rel. 100, hkl 1 0 -2; 2θ 30.30, rel. 94, hkl 1 0 2; 2θ 35.75, rel. 76, hkl 2 0 0


3.
For LiCr2Cu2W4O16, a structure optimized by DFT (PBE+U) gives the computed powder XRD pattern in this record (Cu Kα (weighted mean of Kα1 and Kα2)).
Intensities are scaled so that the largest is 100.

Cell and atoms:
abc: 5.116 7.407 7.516
angles: 101.63 91.03 90.24
Space group P1 (No. 1)
Inequivalent atoms, fractional coordinates:
Li: 0.000 0.000 0.000 [1 per cell]
Cr: 0.490 0.643 0.912 [1 per cell]
Cr: 0.995 0.284 0.271 [1 per cell]
Cu: 0.497 0.121 0.423 [1 per cell]
Cu: 0.998 0.762 0.722 [1 per cell]
W: 0.499 0.132 0.921 [1 per cell]
W: 0.500 0.619 0.421 [1 per cell]
W: 0.992 0.292 0.756 [1 per cell]
W: 0.997 0.785 0.255 [1 per cell]
O: 0.126 0.024 0.270 [1 per cell]
O: 0.149 0.257 0.016 [1 per cell]
O: 0.161 0.522 0.792 [1 per cell]
O: 0.186 0.761 0.491 [1 per cell]
O: 0.309 0.155 0.684 [1 per cell]
O: 0.322 0.654 0.166 [1 per cell]
O: 0.332 0.888 0.908 [1 per cell]
O: 0.335 0.391 0.388 [1 per cell]
O: 0.630 0.646 0.658 [1 per cell]
O: 0.671 0.386 0.887 [1 per cell]
O: 0.672 0.160 0.148 [1 per cell]
O: 0.683 0.862 0.394 [1 per cell]
O: 0.821 0.046 0.780 [1 per cell]
O: 0.826 0.534 0.287 [1 per cell]
O: 0.827 0.761 0.030 [1 per cell]
O: 0.859 0.275 0.521 [1 per cell]

Most intense lines, 10° ≤ 2θ ≤ 90°, by angle:
2θ 18.83, rel. 100, hkl 0 1 1; 2θ 24.54, rel. 65, hkl 0 2 0; 2θ 29.63, rel. 90, hkl 1 0 -2; 2θ 30.09, rel. 81, hkl 1 -2 0; 2θ 30.19, rel. 86, hkl 1 0 2; 2θ 30.32, rel. 77, hkl 1 2 0